# 1
Simulated powder X-ray diffraction pattern of YNiGe for Cu Ka, from a DFT-relaxed cell (GGA-PBE, the Materials Project).
Neutral-atom scattering factors, no anomalous dispersion.

Cell and atoms:
Unit cell a=10.2587 b=4.1383 c=6.8751 alpha=90.00 beta=131.91 gamma=90.00
Space group C2/m (No. 12)
Inequivalent atoms, fractional coordinates:
Y (0.0497, 0.0000, 0.3084) (multiplicity 4)
Ni (0.1706, 0.5000, 0.7263) (multiplicity 4)
Ge (0.1720, 0.5000, 0.1075) (multiplicity 4)

The 6 most intense peaks (2θ from 5° to 70°), most intense first:
- (1 1 -2), 35.94°, intensity 100.0
- (3 1 0), 41.67°, intensity 68.3
- (3 1 -1), 34.53°, intensity 57.6
- (0 2 0), 43.75°, intensity 42.1
- (2 0 -3), 41.12°, intensity 37.1
- (4 0 -2), 35.18°, intensity 30.9

=====

# 2
Simulated powder X-ray diffraction pattern of YMn2 for Cu Ka, from a DFT-relaxed cell (GGA-PBE, the Materials Project).
Neutral-atom scattering factors, no anomalous dispersion.

Cell and atoms:
Unit cell a=7.2414 b=7.2414 c=7.2414 alpha=90.00 beta=90.00 gamma=90.00
Space group Fd-3m (No. 227, origin choice 2)
Inequivalent atoms, fractional coordinates:
Y (0.1250, 0.1250, 0.1250) (multiplicity 8)
Mn (0.0000, 0.0000, 0.5000) (multiplicity 16)

The 6 most intense peaks (2θ from 5° to 70°), most intense first:
- (3 1 1), 41.35°, intensity 100.0
- (2 2 0), 35.05°, intensity 45.8
- (5 1 1), 67.17°, intensity 29.0
- (2 2 2), 43.28°, intensity 25.1
- (4 2 2), 62.87°, intensity 16.0
- (1 1 1), 21.25°, intensity 0.7

=====

# 3
Simulated powder X-ray diffraction pattern of ScAg4 for Cu Ka, from a DFT-relaxed cell (GGA-PBE, the Materials Project).
Neutral-atom scattering factors, no anomalous dispersion.

Cell and atoms:
Unit cell a=6.6878 b=6.6878 c=4.1187 alpha=90.00 beta=90.00 gamma=90.00
Space group I4/m (No. 87)
Inequivalent atoms, fractional coordinates:
Sc (0.0000, 0.0000, 0.0000) (multiplicity 2)
Ag (0.0996, 0.7001, 0.5000) (multiplicity 8)

The 6 most intense peaks (2θ from 5° to 70°), most intense first:
- (1 2 1), 37.15°, intensity 100.0
- (3 1 0), 42.76°, intensity 33.2
- (3 1 2), 63.00°, intensity 19.6
- (0 0 2), 43.97°, intensity 14.9
- (2 4 0), 62.06°, intensity 10.3
- (1 0 1), 25.40°, intensity 5.0

=====

# 4
Simulated powder X-ray diffraction pattern of Be2NiRu for Cu Ka, from a DFT-relaxed cell (GGA-PBE, the Materials Project).
Neutral-atom scattering factors, no anomalous dispersion.

Cell and atoms:
Unit cell a=5.4163 b=5.4163 c=5.4163 alpha=90.00 beta=90.00 gamma=90.00
Space group Fm-3m (No. 225)
Inequivalent atoms, fractional coordinates:
Be (0.2500, 0.2500, 0.2500) (multiplicity 8)
Ni (0.0000, 0.0000, 0.0000) (multiplicity 4)
Ru (0.0000, 0.0000, 0.5000) (multiplicity 4)

The 6 most intense peaks (2θ from 5° to 70°), most intense first:
- (2 0 0), 33.08°, intensity 100.0
- (2 2 0), 47.48°, intensity 93.9
- (2 2 2), 59.08°, intensity 24.0
- (4 0 0), 69.41°, intensity 14.4
- (1 1 1), 28.54°, intensity 11.6
- (3 1 1), 56.34°, intensity 5.4

=====

# 5
Simulated powder X-ray diffraction pattern of K4I2O9 for Cu Ka, from a DFT-relaxed cell (GGA-PBE, the Materials Project).
Neutral-atom scattering factors, no anomalous dispersion.

Cell and atoms:
Unit cell a=6.2936 b=6.2936 c=15.7148 alpha=90.00 beta=90.00 gamma=120.00
Space group P6_3/mmc (No. 194)
Inequivalent atoms, fractional coordinates:
K (0.0000, 0.0000, 0.0000) (multiplicity 2)
K (0.0000, 0.0000, 0.2500) (multiplicity 2)
K (0.3333, 0.6667, 0.0911) (multiplicity 4)
I (0.3333, 0.6667, 0.6575) (multiplicity 4)
O (0.0673, 0.5337, 0.7500) (multiplicity 6)
O (0.1863, 0.3727, 0.6017) (multiplicity 12)

The 6 most intense peaks (2θ from 5° to 70°), most intense first:
- (1 0 1), 17.22°, intensity 100.0
- (1 1 0), 28.36°, intensity 63.4
- (1 0 5), 32.89°, intensity 31.3
- (1 0 4), 28.00°, intensity 28.7
- (2 0 4), 40.28°, intensity 25.0
- (2 1 5), 53.16°, intensity 18.9

=====

# 6
Simulated powder X-ray diffraction pattern of Mg6CuCO8 for Cu Ka, from a DFT-relaxed cell (GGA-PBE, the Materials Project).
Neutral-atom scattering factors, no anomalous dispersion.

Cell and atoms:
Unit cell a=4.2109 b=4.2109 c=8.4909 alpha=90.00 beta=90.00 gamma=90.00
Space group P4/mmm (No. 123)
Inequivalent atoms, fractional coordinates:
Mg (0.0000, 0.0000, 0.0000) (multiplicity 1)
Mg (0.0000, 0.0000, 0.5000) (multiplicity 1)
Mg (0.0000, 0.5000, 0.2464) (multiplicity 4)
Cu (0.5000, 0.5000, 0.5000) (multiplicity 1)
C (0.5000, 0.5000, 0.0000) (multiplicity 1)
O (0.0000, 0.0000, 0.2486) (multiplicity 2)
O (0.0000, 0.5000, 0.0000) (multiplicity 2)
O (0.0000, 0.5000, 0.5000) (multiplicity 2)
O (0.5000, 0.5000, 0.2431) (multiplicity 2)

The 6 most intense peaks (2θ from 5° to 70°), most intense first:
- (2 0 0), 42.96°, intensity 100.0
- (2 0 4), 62.09°, intensity 56.1
- (0 0 4), 42.59°, intensity 51.2
- (0 0 1), 10.42°, intensity 32.0
- (2 2 0), 62.37°, intensity 27.8
- (1 1 2), 36.87°, intensity 25.5

=====

# 7
Simulated powder X-ray diffraction pattern of GeTePb2Se2 for Cu Ka, from a DFT-relaxed cell (GGA-PBE, the Materials Project).
Neutral-atom scattering factors, no anomalous dispersion.

Cell and atoms:
Unit cell a=4.3205 b=4.3205 c=10.8339 alpha=90.00 beta=90.00 gamma=120.00
Space group P3m1 (No. 156)
Inequivalent atoms, fractional coordinates:
Ge (0.0000, 0.0000, 0.0000) (multiplicity 1)
Te (0.6667, 0.3333, 0.8585) (multiplicity 1)
Pb (0.3333, 0.6667, 0.6480) (multiplicity 1)
Pb (0.6667, 0.3333, 0.3071) (multiplicity 1)
Se (0.0000, 0.0000, 0.4950) (multiplicity 1)
Se (0.3333, 0.6667, 0.1542) (multiplicity 1)

The 6 most intense peaks (2θ from 5° to 70°), most intense first:
- (0 1 2), 29.00°, intensity 100.0
- (1 1 0), 41.82°, intensity 37.2
- (1 0 4), 41.14°, intensity 32.7
- (2 0 2), 51.69°, intensity 20.3
- (1 2 2), 68.58°, intensity 17.5
- (1 0 1), 25.18°, intensity 15.8

=====

# 8
Simulated powder X-ray diffraction pattern of PrGa6 for Cu Ka, from a DFT-relaxed cell (GGA-PBE, the Materials Project).
Neutral-atom scattering factors, no anomalous dispersion.

Cell and atoms:
Unit cell a=6.0988 b=6.0988 c=7.6872 alpha=90.00 beta=90.00 gamma=90.00
Space group P4/nbm (No. 125, origin choice 2)
Inequivalent atoms, fractional coordinates:
Pr (0.2500, 0.7500, 0.0000) (multiplicity 2)
Ga (0.0528, 0.5528, 0.3488) (multiplicity 8)
Ga (0.2500, 0.2500, 0.1627) (multiplicity 4)

The 6 most intense peaks (2θ from 5° to 70°), most intense first:
- (2 0 1), 31.56°, intensity 100.0
- (2 2 0), 41.90°, intensity 40.8
- (1 1 3), 40.97°, intensity 39.6
- (1 1 2), 31.17°, intensity 32.7
- (2 1 1), 34.91°, intensity 23.8
- (2 1 2), 40.56°, intensity 21.1

=====

# 9
Simulated powder X-ray diffraction pattern of Ti8Ga3Co4Si for Cu Ka, from a DFT-relaxed cell (GGA-PBE, the Materials Project).
Neutral-atom scattering factors, no anomalous dispersion.

Cell and atoms:
Unit cell a=4.3058 b=4.3058 c=41.7678 alpha=90.00 beta=90.00 gamma=120.00
Space group R3m (No. 160, hexagonal axes)
Inequivalent atoms, fractional coordinates:
Ti (0.0000, 0.0000, 0.0000) (multiplicity 3)
Ti (0.0000, 0.0000, 0.0624) (multiplicity 3)
Ti (0.0000, 0.0000, 0.2496) (multiplicity 3)
Ti (0.0000, 0.0000, 0.3133) (multiplicity 3)
Ti (0.0000, 0.0000, 0.4999) (multiplicity 3)
Ti (0.0000, 0.0000, 0.5627) (multiplicity 3)
Ti (0.0000, 0.0000, 0.7491) (multiplicity 3)
Ti (0.0000, 0.0000, 0.8123) (multiplicity 3)
Ga (0.0000, 0.0000, 0.1249) (multiplicity 3)
Ga (0.0000, 0.0000, 0.6253) (multiplicity 3)
Ga (0.0000, 0.0000, 0.8751) (multiplicity 3)
Co (0.0000, 0.0000, 0.1873) (multiplicity 3)
Co (0.0000, 0.0000, 0.4358) (multiplicity 3)
Co (0.0000, 0.0000, 0.6890) (multiplicity 3)
Co (0.0000, 0.0000, 0.9376) (multiplicity 3)
Si (0.0000, 0.0000, 0.3761) (multiplicity 3)

The 6 most intense peaks (2θ from 5° to 70°), most intense first:
- (1 1 0), 41.96°, intensity 100.0
- (1 0 16), 42.26°, intensity 97.4
- (0 2 16), 61.08°, intensity 30.1
- (0 0 3), 6.35°, intensity 4.7
- (1 0 4), 25.36°, intensity 3.5
- (1 0 1), 23.96°, intensity 1.1

=====

# 10
Simulated powder X-ray diffraction pattern of Pr2Al5Cu5 for Cu Ka, from a DFT-relaxed cell (GGA-PBE, the Materials Project).
Neutral-atom scattering factors, no anomalous dispersion.

Cell and atoms:
Unit cell a=4.0712 b=5.2887 c=9.6072 alpha=90.00 beta=90.00 gamma=90.00
Space group Pmmm (No. 47)
Inequivalent atoms, fractional coordinates:
Pr (0.0000, 0.0000, 0.0000) (multiplicity 1)
Pr (0.0000, 0.5000, 0.5000) (multiplicity 1)
Al (0.0000, 0.0000, 0.3141) (multiplicity 2)
Al (0.0000, 0.5000, 0.1681) (multiplicity 2)
Al (0.5000, 0.0000, 0.5000) (multiplicity 1)
Cu (0.5000, 0.2531, 0.2519) (multiplicity 4)
Cu (0.5000, 0.5000, 0.0000) (multiplicity 1)

The 6 most intense peaks (2θ from 5° to 70°), most intense first:
- (1 1 1), 29.20°, intensity 100.0
- (1 1 3), 39.66°, intensity 93.0
- (1 0 2), 28.74°, intensity 75.1
- (0 2 2), 38.88°, intensity 73.5
- (1 2 0), 40.69°, intensity 60.3
- (0 0 4), 37.44°, intensity 46.2

=====

# 11
Simulated powder X-ray diffraction pattern of BaCaNdBiO6 for Cu Ka, from a DFT-relaxed cell (GGA-PBE, the Materials Project).
Neutral-atom scattering factors, no anomalous dispersion.

Cell and atoms:
Unit cell a=6.0652 b=6.1691 c=8.6903 alpha=89.91 beta=89.58 gamma=89.81
Space group P-1 (No. 2)
Inequivalent atoms, fractional coordinates:
Ba (0.0067, 0.0395, 0.2494) (multiplicity 2)
Ca (0.4892, 0.5399, 0.2465) (multiplicity 2)
Nd (0.0000, 0.5000, 0.0000) (multiplicity 1)
Nd (0.5000, 0.0000, 0.5000) (multiplicity 1)
Bi (0.0000, 0.5000, 0.5000) (multiplicity 1)
Bi (0.5000, 0.0000, 0.0000) (multiplicity 1)
O (0.1210, 0.5106, 0.7364) (multiplicity 2)
O (0.1939, 0.7818, 0.4567) (multiplicity 2)
O (0.2147, 0.8042, 0.0336) (multiplicity 2)
O (0.2865, 0.3115, 0.4316) (multiplicity 2)
O (0.3189, 0.2926, 0.0634) (multiplicity 2)
O (0.4266, 0.0707, 0.7626) (multiplicity 2)

The 6 most intense peaks (2θ from 5° to 70°), most intense first:
- (-1 1 2), 29.21°, intensity 100.0
- (1 1 2), 28.98°, intensity 96.7
- (0 2 -4), 51.45°, intensity 52.4
- (1 -1 2), 29.10°, intensity 52.2
- (2 0 0), 29.45°, intensity 47.0
- (1 1 0), 20.47°, intensity 39.1

=====

# 12
Simulated powder X-ray diffraction pattern of Ba2Sr7I18 for Cu Ka, from a DFT-relaxed cell (GGA-PBE, the Materials Project).
Neutral-atom scattering factors, no anomalous dispersion.

Cell and atoms:
Unit cell a=10.7459 b=11.5229 c=12.0914 alpha=79.23 beta=63.64 gamma=83.79
Space group P-1 (No. 2)
Inequivalent atoms, fractional coordinates:
Ba (0.0301, 0.3894, 0.2805) (multiplicity 2)
Sr (0.1733, 0.1755, 0.6195) (multiplicity 2)
Sr (0.3165, 0.7791, 0.8844) (multiplicity 2)
Sr (0.3857, 0.8880, 0.2054) (multiplicity 2)
Sr (0.5000, 0.5000, 0.5000) (multiplicity 1)
I (0.0189, 0.6901, 0.1350) (multiplicity 2)
I (0.0883, 0.8168, 0.4464) (multiplicity 2)
I (0.1143, 0.9011, 0.7519) (multiplicity 2)
I (0.2083, 0.4597, 0.4715) (multiplicity 2)
I (0.2696, 0.5514, 0.7785) (multiplicity 2)
I (0.2949, 0.0296, 0.9865) (multiplicity 2)
I (0.3399, 0.1559, 0.3025) (multiplicity 2)
I (0.4426, 0.6538, 0.0790) (multiplicity 2)
I (0.4880, 0.2115, 0.5868) (multiplicity 2)

The 6 most intense peaks (2θ from 5° to 70°), most intense first:
- (2 1 -1), 24.93°, intensity 100.0
- (1 3 2), 25.50°, intensity 63.3
- (0 3 -1), 26.25°, intensity 54.1
- (2 -1 3), 26.41°, intensity 52.2
- (0 2 -4), 39.43°, intensity 42.9
- (3 1 2), 25.60°, intensity 42.4